Theoretical powder diffractogram of In4Bi2S9 for Cu Ka, from a GGA-PBE-relaxed structure.
Neutral-atom scattering factors, no anomalous dispersion.

abc: 11.321 3.978 16.534
angles: 90.00 94.23 90.00
Space group P2_1/m (No. 11)
Symmetry-distinct sites (fractional):
1 In 0.006 0.250 0.405 (multiplicity 2)
2 In 0.010 0.250 0.788 (multiplicity 2)
3 In 0.234 0.250 0.081 (multiplicity 2)
4 In 0.358 0.750 0.316 (multiplicity 2)
5 Bi 0.368 0.750 0.575 (multiplicity 2)
6 Bi 0.396 0.750 0.902 (multiplicity 2)
7 S 0.088 0.750 0.084 (multiplicity 2)
8 S 0.121 0.750 0.742 (multiplicity 2)
9 S 0.126 0.250 0.545 (multiplicity 2)
10 S 0.133 0.750 0.341 (multiplicity 2)
11 S 0.234 0.250 0.922 (multiplicity 2)
12 S 0.353 0.250 0.218 (multiplicity 2)
13 S 0.398 0.250 0.434 (multiplicity 2)
14 S 0.407 0.250 0.684 (multiplicity 2)
15 S 0.413 0.750 0.060 (multiplicity 2)

Main lines, by angle (15 to 90 degrees two-theta):
index, two_theta, intensity
2 0 -3, 21.7, 36
1 0 -4, 22.4, 32
2 0 3, 23.4, 57
3 0 0, 23.7, 63
2 1 0, 27.4, 51
0 1 3, 27.7, 100
2 1 -2, 29.1, 59
0 0 6, 32.6, 53
3 1 0, 32.8, 40
3 1 -3, 35.9, 49
0 2 0, 45.6, 62
5 1 3, 50.3, 35



Theoretical powder diffractogram of In5Bi3S12 for Cu Ka, from a GGA-PBE-relaxed structure.
Neutral-atom scattering factors, no anomalous dispersion.

abc: 3.921 14.566 16.873
angles: 90.57 96.67 90.00
Space group P1 (No. 1)
Symmetry-distinct sites (fractional):
1 In 0.000 0.000 0.000 (multiplicity 1)
2 In 0.002 0.500 0.003 (multiplicity 1)
3 In 0.063 0.725 0.145 (multiplicity 1)
4 In 0.210 0.420 0.433 (multiplicity 1)
5 In 0.318 0.784 0.654 (multiplicity 1)
6 In 0.408 0.510 0.805 (multiplicity 1)
7 In 0.600 0.503 0.197 (multiplicity 1)
8 In 0.673 0.221 0.346 (multiplicity 1)
9 In 0.790 0.586 0.565 (multiplicity 1)
10 In 0.938 0.282 0.861 (multiplicity 1)
11 Bi 0.138 0.985 0.272 (multiplicity 1)
12 Bi 0.322 0.268 0.643 (multiplicity 1)
13 Bi 0.461 0.795 0.897 (multiplicity 1)
14 Bi 0.546 0.213 0.105 (multiplicity 1)
15 Bi 0.682 0.738 0.360 (multiplicity 1)
16 Bi 0.859 0.018 0.733 (multiplicity 1)
17 S 0.003 0.824 0.013 (multiplicity 1)
18 S 0.070 0.407 0.124 (multiplicity 1)
19 S 0.131 0.183 0.230 (multiplicity 1)
20 S 0.133 0.606 0.257 (multiplicity 1)
21 S 0.206 0.858 0.391 (multiplicity 1)
22 S 0.224 0.592 0.458 (multiplicity 1)
23 S 0.238 0.241 0.446 (multiplicity 1)
24 S 0.314 0.964 0.637 (multiplicity 1)
25 S 0.339 0.605 0.680 (multiplicity 1)
26 S 0.397 0.193 0.791 (multiplicity 1)
27 S 0.438 0.976 0.894 (multiplicity 1)
28 S 0.473 0.399 0.930 (multiplicity 1)
29 S 0.544 0.606 0.071 (multiplicity 1)
30 S 0.570 0.029 0.108 (multiplicity 1)
31 S 0.602 0.813 0.212 (multiplicity 1)
32 S 0.661 0.403 0.327 (multiplicity 1)
33 S 0.678 0.043 0.365 (multiplicity 1)
34 S 0.764 0.412 0.546 (multiplicity 1)
35 S 0.770 0.763 0.558 (multiplicity 1)
36 S 0.806 0.153 0.609 (multiplicity 1)
37 S 0.871 0.395 0.748 (multiplicity 1)
38 S 0.877 0.823 0.772 (multiplicity 1)
39 S 0.933 0.599 0.877 (multiplicity 1)
40 S 0.997 0.185 0.986 (multiplicity 1)

Main lines, by angle (15 to 90 degrees two-theta):
index, two_theta, intensity
0 2 -4, 24.4, 100
1 1 -2, 24.8, 34
-1 2 1, 26.0, 32
1 -1 2, 27.0, 42
1 2 2, 29.2, 27
1 3 0, 29.4, 40
1 1 3, 30.1, 29
1 2 3, 32.0, 29
-1 3 3, 32.3, 62
1 0 -5, 33.2, 42
2 0 -1, 46.3, 38
2 2 -5, 53.0, 27



Theoretical powder diffractogram of In5Bi3S12 for Cu Ka, from a GGA-PBE-relaxed structure.
Neutral-atom scattering factors, no anomalous dispersion.

abc: 33.517 3.921 14.566
angles: 90.00 90.58 90.00
Space group C2/m (No. 12)
Symmetry-distinct sites (fractional):
1 In 0.000 0.000 0.000 (multiplicity 2)
2 In 0.000 0.000 0.500 (multiplicity 2)
3 In 0.072 0.000 0.222 (multiplicity 4)
4 In 0.098 0.500 0.996 (multiplicity 4)
5 In 0.173 0.500 0.720 (multiplicity 4)
6 In 0.217 0.000 0.918 (multiplicity 4)
7 Bi 0.053 0.500 0.710 (multiplicity 4)
8 Bi 0.135 0.000 0.485 (multiplicity 4)
9 Bi 0.180 0.500 0.233 (multiplicity 4)
10 S 0.006 0.000 0.318 (multiplicity 4)
11 S 0.035 0.500 0.106 (multiplicity 4)
12 S 0.053 0.500 0.527 (multiplicity 4)
13 S 0.062 0.000 0.901 (multiplicity 4)
14 S 0.105 0.500 0.313 (multiplicity 4)
15 S 0.114 0.000 0.681 (multiplicity 4)
16 S 0.127 0.000 0.104 (multiplicity 4)
17 S 0.162 0.500 0.898 (multiplicity 4)
18 S 0.183 0.500 0.542 (multiplicity 4)
19 S 0.195 0.000 0.352 (multiplicity 4)
20 S 0.222 0.000 0.739 (multiplicity 4)
21 S 0.228 0.000 0.091 (multiplicity 4)

Main lines, by angle (15 to 90 degrees two-theta):
index, two_theta, intensity
8 0 -2, 24.4, 100
3 1 -1, 24.8, 34
1 1 2, 26.0, 32
5 1 -1, 27.0, 41
5 1 2, 29.2, 27
1 1 3, 29.4, 39
7 1 1, 30.1, 28
7 1 2, 32.0, 28
5 1 3, 32.3, 61
9 1 0, 33.2, 41
7 1 -4, 38.5, 27
0 2 0, 46.3, 38



Theoretical powder diffractogram of InBi3Se6 for Cu Ka, from a GGA-PBE-relaxed structure.
Neutral-atom scattering factors, no anomalous dispersion.

abc: 4.1566 4.1566 58.5868
angles: 90.00 90.00 120.00
Space group R3m (No. 160, hexagonal axes)
Symmetry-distinct sites (fractional):
1 In 0.0000 0.0000 0.0000 (multiplicity 3)
2 Bi 0.0000 0.0000 0.0996 (multiplicity 3)
3 Bi 0.0000 0.0000 0.5000 (multiplicity 3)
4 Bi 0.0000 0.0000 0.6018 (multiplicity 3)
5 Se 0.0000 0.0000 0.1940 (multiplicity 3)
6 Se 0.0000 0.0000 0.3023 (multiplicity 3)
7 Se 0.0000 0.0000 0.4058 (multiplicity 3)
8 Se 0.0000 0.0000 0.6888 (multiplicity 3)
9 Se 0.0000 0.0000 0.8000 (multiplicity 3)
10 Se 0.0000 0.0000 0.9080 (multiplicity 3)

Main lines, by angle (15 to 90 degrees two-theta):
index, two_theta, intensity
0 0 12, 18.2, 19
0 1 2, 24.9, 14
1 0 10, 29.1, 100
0 1 20, 39.7, 36
1 0 22, 42.2, 10
1 1 0, 43.5, 36
0 1 26, 47.6, 15
0 2 10, 53.2, 19
2 0 20, 60.4, 11
1 1 30, 65.6, 12
2 1 10, 71.1, 16
1 2 20, 77.3, 10



Theoretical powder diffractogram of Sr5In2Bi6 for Cu Ka, from a GGA-PBE-relaxed structure.
Neutral-atom scattering factors, no anomalous dispersion.

abc: 7.949 24.881 4.814
angles: 90.00 90.00 90.00
Space group Pbam (No. 55)
Symmetry-distinct sites (fractional):
1 Sr 0.000 0.000 0.000 (multiplicity 2)
2 Sr 0.030 0.412 0.000 (multiplicity 4)
3 Sr 0.225 0.245 0.000 (multiplicity 4)
4 In 0.175 0.120 0.500 (multiplicity 4)
5 Bi 0.014 0.688 0.500 (multiplicity 4)
6 Bi 0.046 0.864 0.000 (multiplicity 4)
7 Bi 0.196 0.502 0.500 (multiplicity 4)

Main lines, by angle (15 to 90 degrees two-theta):
index, two_theta, intensity
1 5 0, 21.1, 39
1 1 1, 21.9, 45
1 2 1, 22.7, 35
1 3 1, 24.1, 33
2 4 0, 26.6, 39
1 7 0, 27.5, 36
1 5 1, 28.1, 69
0 6 1, 28.4, 40
2 2 1, 30.0, 100
0 0 2, 37.4, 63
3 3 1, 40.4, 58
2 8 1, 41.4, 57



Theoretical powder diffractogram of InBi3Te4 for Cu Ka, from a GGA-PBE-relaxed structure.
Neutral-atom scattering factors, no anomalous dispersion.

abc: 7.700 4.468 24.284
angles: 90.00 90.54 90.00
Space group Pm (No. 6)
Symmetry-distinct sites (fractional):
1 In 0.000 0.000 0.000 (multiplicity 1)
2 In 0.001 0.000 0.243 (multiplicity 1)
3 In 0.501 0.500 0.000 (multiplicity 1)
4 Bi 0.167 0.500 0.587 (multiplicity 1)
5 Bi 0.167 0.500 0.832 (multiplicity 1)
6 Bi 0.334 0.000 0.411 (multiplicity 1)
7 Bi 0.334 0.000 0.657 (multiplicity 1)
8 Bi 0.501 0.500 0.245 (multiplicity 1)
9 Bi 0.666 0.000 0.587 (multiplicity 1)
10 Bi 0.667 0.000 0.832 (multiplicity 1)
11 Bi 0.834 0.500 0.412 (multiplicity 1)
12 Bi 0.835 0.500 0.657 (multiplicity 1)
13 Te 0.001 0.000 0.484 (multiplicity 1)
14 Te 0.159 0.500 0.327 (multiplicity 1)
15 Te 0.167 0.500 0.059 (multiplicity 1)
16 Te 0.328 0.000 0.177 (multiplicity 1)
17 Te 0.334 0.000 0.916 (multiplicity 1)
18 Te 0.499 0.500 0.759 (multiplicity 1)
19 Te 0.501 0.500 0.484 (multiplicity 1)
20 Te 0.669 0.000 0.060 (multiplicity 1)
21 Te 0.672 0.000 0.330 (multiplicity 1)
22 Te 0.834 0.500 0.916 (multiplicity 1)
23 Te 0.840 0.500 0.180 (multiplicity 1)
24 Te 0.999 0.000 0.760 (multiplicity 1)

Main lines, by angle (15 to 90 degrees two-theta):
index, two_theta, intensity
0 0 5, 18.3, 11
2 0 -4, 27.3, 51
1 1 4, 27.4, 100
1 1 -8, 37.6, 38
2 0 8, 37.9, 19
0 2 0, 40.4, 19
3 1 0, 40.5, 38
2 2 -4, 49.4, 20
4 0 4, 49.8, 10
2 2 8, 56.6, 12
4 2 4, 66.0, 11
1 3 -8, 71.6, 12



Theoretical powder diffractogram of In3BiTe4 for Cu Ka, from a GGA-PBE-relaxed structure.
Neutral-atom scattering factors, no anomalous dispersion.

abc: 8.417 8.417 7.298
angles: 90.00 90.00 90.00
Space group I422 (No. 97)
Symmetry-distinct sites (fractional):
1 In 0.000 0.000 0.000 (multiplicity 2)
2 In 0.000 0.500 0.000 (multiplicity 4)
3 Bi 0.000 0.000 0.500 (multiplicity 2)
4 Te 0.190 0.310 0.250 (multiplicity 8)

Main lines, by angle (15 to 90 degrees two-theta):
index, two_theta, intensity
2 1 1, 26.6, 43
2 2 0, 30.0, 49
2 0 2, 32.5, 100
4 0 0, 43.0, 9
2 1 3, 44.3, 11
4 1 1, 46.2, 19
4 2 0, 48.4, 11
0 0 4, 50.0, 19
4 2 2, 54.9, 19
2 2 4, 59.4, 14
6 2 2, 76.1, 12
6 0 4, 87.8, 10



Theoretical powder diffractogram of Bi2Ir for Cu Ka, from a GGA-PBE-relaxed structure.
Neutral-atom scattering factors, no anomalous dispersion.

abc: 7.016 6.897 7.083
angles: 90.00 115.95 90.00
Space group P2_1/c (No. 14)
Symmetry-distinct sites (fractional):
1 Bi 0.145 0.136 0.374 (multiplicity 4)
2 Bi 0.347 0.642 0.671 (multiplicity 4)
3 Ir 0.271 0.003 0.786 (multiplicity 4)

Main lines, by angle (15 to 90 degrees two-theta):
index, two_theta, intensity
1 1 -1, 19.7, 23
0 0 2, 28.0, 31
2 0 0, 28.3, 40
1 2 -1, 29.9, 100
0 1 2, 30.9, 50
2 1 0, 31.2, 52
1 1 -3, 40.6, 37
3 1 -1, 41.0, 45
1 3 1, 46.4, 56
3 1 -3, 47.5, 24
2 0 2, 48.7, 25
2 4 -2, 62.2, 24